This entry pairs a crystal structure of KInSCl2 with its simulated powder diffractogram. Radiation: Cu Kα (λ = 1.5418 Å). Structure: the GGA-PBE geometry in Alexandria.

Top 6 peaks for 10° ≤ 2θ ≤ 80°, sorted by position:
5.396 Å, 2θ 16.43, I = 99, hkl 1 0 0; 3.815 Å, 2θ 23.31, I = 50, hkl 1 1 0; 3.662 Å, 2θ 24.31, I = 99, hkl 1 0 1; 2.698 Å, 2θ 33.21, I = 100, hkl 2 0 0; 2.172 Å, 2θ 41.58, I = 48, hkl 2 1 1; 1.831 Å, 2θ 49.81, I = 58, hkl 2 0 2

Structure:
Cell: 5.3957 5.3957 4.9850 Å, 90.00 90.00 90.00°
Element x y z (fractional)
K 0.0000 0.0000 0.0000
In 0.5000 0.5000 0.5000
S 0.5000 0.5000 0.0000
Cl 0.0000 0.5000 0.5000
Cl 0.5000 0.0000 0.5000